[1]
Starting from a GGA-PBE-relaxed structure, the powder XRD pattern of NaP5Pt3 was calculated for Cu Kα.
No peak broadening, texture or thermal motion is included.

Structural model:
```
data_NaP5Pt3
_chemical_formula_sum 'Na1 P5 Pt3'
_cell_length_a 5.7553
_cell_length_b 5.7553
_cell_length_c 6.2912
_cell_angle_alpha 90.00
_cell_angle_beta 90.00
_cell_angle_gamma 120.00
_space_group_name_H-M_alt 'P 6/m m m'
_space_group_IT_number 191
_space_group_name_Hall '-P 6 2'
loop_
_atom_site_label
_atom_site_fract_x
_atom_site_fract_y
_atom_site_fract_z
Na1 0.0000 0.0000 0.0000
P1 0.0000 0.0000 0.5000
P2 0.3333 0.6667 0.2236
Pt1 0.0000 0.5000 0.5000
```

Largest 8 diffraction maxima, most intense first, 10° ≤ 2θ ≤ 80°:
2θ (°)  I (rel.)
14.1  100
38.9  57
46.5  46
36.0  32
17.8  23
22.8  19
57.4  18
28.4  16

***

[2]
Starting from a GGA-PBE-relaxed structure, the powder XRD pattern of BaTmZnSb2 was calculated for Cu Kα.
No peak broadening, texture or thermal motion is included.

Structural model:
```
data_BaTmZnSb2
_chemical_formula_sum 'Ba4 Tm4 Zn4 Sb8'
_cell_length_a 4.7091
_cell_length_b 18.2481
_cell_length_c 7.0798
_cell_angle_alpha 90.00
_cell_angle_beta 90.00
_cell_angle_gamma 90.00
_space_group_name_H-M_alt 'C m c 21'
_space_group_IT_number 36
loop_
_space_group_symop_operation_xyz
'x,y,z'
'-x,-y,z+1/2'
'-x,y,z'
'x,-y,z+1/2'
'x+1/2,y+1/2,z'
'-x+1/2,-y+1/2,z+1/2'
'-x+1/2,y+1/2,z'
'x+1/2,-y+1/2,z+1/2'
loop_
_atom_site_label
_atom_site_fract_x
_atom_site_fract_y
_atom_site_fract_z
Ba1 0.0000 0.2011 0.0000
Tm1 0.0000 0.0067 0.7365
Zn1 0.0000 0.4086 0.8834
Sb1 0.0000 0.1498 0.4967
Sb2 0.0000 0.4385 0.4927
```

Largest 8 diffraction maxima, most intense first, 10° ≤ 2θ ≤ 80°:
2θ (°)  I (rel.)
35.0  100
32.0  77
27.0  63
31.0  61
38.2  39
50.7  37
39.5  26
47.4  25

***

[3]
Starting from a GGA-PBE-relaxed structure, the powder XRD pattern of K2Pt2Pb2O7 was calculated for Cu Kα.
No peak broadening, texture or thermal motion is included.

Structural model:
```
data_K2Pt2Pb2O7
_chemical_formula_sum 'K2 Pt2 Pb2 O7'
_cell_length_a 5.9421
_cell_length_b 5.9421
_cell_length_c 7.3629
_cell_angle_alpha 90.00
_cell_angle_beta 90.00
_cell_angle_gamma 120.00
_space_group_name_H-M_alt 'P -3'
_space_group_IT_number 147
loop_
_space_group_symop_operation_xyz
'x,y,z'
'-x,-y,-z'
'-y,x-y,z'
'y,-x+y,-z'
'-x+y,-x,z'
'x-y,x,-z'
loop_
_atom_site_label
_atom_site_fract_x
_atom_site_fract_y
_atom_site_fract_z
K1 0.3333 0.6667 0.0945
Pt1 0.0000 0.0000 0.2110
Pb1 0.3333 0.6667 0.5846
O1 0.0000 0.0000 0.5000
O2 0.1251 0.3654 0.8012
```

Largest 8 diffraction maxima, most intense first, 10° ≤ 2θ ≤ 80°:
2θ (°)  I (rel.)
30.1  100
29.8  89
21.1  49
53.3  39
42.9  36
53.4  22
40.7  18
70.8  16

***

[4]
Starting from a GGA-PBE-relaxed structure, the powder XRD pattern of Al5W7 was calculated for Cu Kα.
No peak broadening, texture or thermal motion is included.

Structural model:
```
data_Al5W7
_chemical_formula_sum 'Al10 W14'
_cell_length_a 5.1299
_cell_length_b 5.1299
_cell_length_c 16.5306
_cell_angle_alpha 90.00
_cell_angle_beta 90.00
_cell_angle_gamma 120.00
_space_group_name_H-M_alt 'P 63/m m c'
_space_group_IT_number 194
_space_group_name_Hall '-P 6c 2c'
loop_
_atom_site_label
_atom_site_fract_x
_atom_site_fract_y
_atom_site_fract_z
Al1 0.0000 0.5000 0.0000
Al2 0.3333 0.6667 0.1224
W1 0.0000 0.0000 0.0891
W2 0.1643 0.3286 0.2500
W3 0.3333 0.6667 0.6594
```

Largest 8 diffraction maxima, most intense first, 10° ≤ 2θ ≤ 80°:
2θ (°)  I (rel.)
10.7  100
38.4  63
41.4  62
41.0  61
42.1  39
33.8  37
35.0  31
65.0  25